Structure and computed powder diffraction line list of Rb4MgU4Cr4O24 (a PBE+U-relaxed structure; copper Kα).
Lines closer than 0.1° are merged.

Principal peaks in the range 10 to 90 degrees two-theta, by angle:
d (Å)  2θ (°)  I/Imax  hkl
6.993  12.66  100  1 0 0
4.322  20.55  18  0 2 0
3.720  23.92  28  1 -2 0
3.633  24.50  34  1 2 0
3.497  25.47  43  2 0 0
3.318  26.87  15  0 2 -2
3.163  28.21  37  0 1 -3
3.142  28.41  22  1 1 -3
3.124  28.57  40  -1 1 3
2.644  33.90  21  2 1 -3

Cell lengths 7.200, 8.648, 10.407 Å; angles 90.78, 103.68, 91.28 degrees
Space group P1 (No. 1)
One atom of each set of equivalent atoms:
Rb 0.000 0.000 0.000 (multiplicity 1)
Rb 0.012 0.935 0.542 (multiplicity 1)
Rb 0.888 0.590 0.240 (multiplicity 1)
Rb 0.944 0.490 0.772 (multiplicity 1)
Mg 0.017 0.254 0.382 (multiplicity 1)
U 0.460 0.774 0.818 (multiplicity 1)
U 0.467 0.232 0.312 (multiplicity 1)
U 0.479 0.731 0.461 (multiplicity 1)
U 0.484 0.279 0.959 (multiplicity 1)
Cr 0.368 0.610 0.089 (multiplicity 1)
Cr 0.375 0.397 0.582 (multiplicity 1)
Cr 0.569 0.906 0.194 (multiplicity 1)
Cr 0.571 0.109 0.685 (multiplicity 1)
O 0.126 0.369 0.543 (multiplicity 1)
O 0.140 0.614 0.074 (multiplicity 1)
O 0.187 0.212 0.268 (multiplicity 1)
O 0.198 0.803 0.774 (multiplicity 1)
O 0.218 0.749 0.399 (multiplicity 1)
O 0.224 0.244 0.901 (multiplicity 1)
O 0.419 0.545 0.933 (multiplicity 1)
O 0.422 0.182 0.524 (multiplicity 1)
O 0.424 0.608 0.645 (multiplicity 1)
O 0.426 0.815 0.035 (multiplicity 1)
O 0.443 0.411 0.152 (multiplicity 1)
O 0.448 0.457 0.431 (multiplicity 1)
O 0.486 0.910 0.627 (multiplicity 1)
O 0.491 0.114 0.131 (multiplicity 1)
O 0.513 0.972 0.351 (multiplicity 1)
O 0.518 0.315 0.739 (multiplicity 1)
O 0.521 0.689 0.248 (multiplicity 1)
O 0.532 0.050 0.847 (multiplicity 1)
O 0.720 0.746 0.868 (multiplicity 1)
O 0.741 0.706 0.518 (multiplicity 1)
O 0.744 0.316 0.015 (multiplicity 1)
O 0.745 0.260 0.360 (multiplicity 1)
O 0.798 0.118 0.692 (multiplicity 1)
O 0.810 0.908 0.212 (multiplicity 1)


Structure and computed powder diffraction line list of Rb4MgU4Cr4O24 (a PBE+U-relaxed structure; copper Kα).
Lines closer than 0.1° are merged.

Principal peaks in the range 10 to 90 degrees two-theta, by angle:
d (Å)  2θ (°)  I/Imax  hkl
6.812  13.00  100  1 0 0
6.567  13.48  17  0 1 -1
4.311  20.60  16  0 2 0
3.661  24.31  40  1 -2 0
3.626  24.55  39  1 2 0
3.406  26.16  41  2 0 0
3.151  28.32  42  0 1 -3
3.142  28.40  23  0 1 3
3.127  28.55  52  -1 1 3
2.022  44.81  15  -3 2 2

Cell lengths 7.008, 8.622, 10.418 Å; angles 90.05, 103.59, 90.55 degrees
Space group P1 (No. 1)
One atom of each set of equivalent atoms:
Rb 0.000 0.000 0.000 (multiplicity 1)
Rb 0.013 0.940 0.451 (multiplicity 1)
Rb 0.096 0.407 0.656 (multiplicity 1)
Rb 0.111 0.454 0.217 (multiplicity 1)
Mg 0.934 0.616 0.898 (multiplicity 1)
U 0.512 0.680 0.002 (multiplicity 1)
U 0.532 0.218 0.504 (multiplicity 1)
U 0.553 0.720 0.650 (multiplicity 1)
U 0.559 0.179 0.151 (multiplicity 1)
Cr 0.440 0.056 0.780 (multiplicity 1)
Cr 0.444 0.844 0.273 (multiplicity 1)
Cr 0.639 0.350 0.880 (multiplicity 1)
Cr 0.652 0.556 0.380 (multiplicity 1)
O 0.200 0.821 0.255 (multiplicity 1)
O 0.208 0.067 0.774 (multiplicity 1)
O 0.228 0.653 0.954 (multiplicity 1)
O 0.264 0.251 0.456 (multiplicity 1)
O 0.287 0.692 0.586 (multiplicity 1)
O 0.292 0.208 0.096 (multiplicity 1)
O 0.489 0.989 0.623 (multiplicity 1)
O 0.495 0.261 0.722 (multiplicity 1)
O 0.498 0.906 0.112 (multiplicity 1)
O 0.502 0.852 0.839 (multiplicity 1)
O 0.506 0.629 0.216 (multiplicity 1)
O 0.512 0.054 0.336 (multiplicity 1)
O 0.551 0.558 0.815 (multiplicity 1)
O 0.569 0.358 0.320 (multiplicity 1)
O 0.574 0.411 0.032 (multiplicity 1)
O 0.596 0.760 0.435 (multiplicity 1)
O 0.604 0.493 0.540 (multiplicity 1)
O 0.610 0.131 0.934 (multiplicity 1)
O 0.795 0.698 0.035 (multiplicity 1)
O 0.799 0.186 0.558 (multiplicity 1)
O 0.828 0.157 0.204 (multiplicity 1)
O 0.830 0.735 0.729 (multiplicity 1)
O 0.886 0.562 0.393 (multiplicity 1)
O 0.888 0.390 0.892 (multiplicity 1)


Structure and computed powder diffraction line list of MgCrSbO4 (a PBE+U-relaxed structure; copper Kα).
Lines closer than 0.1° are merged.

Principal peaks in the range 10 to 90 degrees two-theta, by angle:
d (Å)  2θ (°)  I/Imax  hkl
5.049  17.56  100  1 0 0
4.317  20.57  23  1 0 -1
2.720  32.93  72  1 0 -2
2.542  35.31  25  1 1 -1
2.525  35.56  13  2 0 0
2.273  39.65  66  1 1 1
2.159  41.85  29  2 0 -2
1.609  57.27  19  1 1 -3
1.572  58.75  17  0 2 0
1.525  60.72  17  3 1 -1

Cell lengths 5.238, 3.145, 5.643 Å; angles 90.00, 105.43, 90.00 degrees
Space group P2/m (No. 10)
One atom of each set of equivalent atoms:
Mg 0.000 0.000 0.000 (multiplicity 1)
Cr 0.500 0.500 0.000 (multiplicity 1)
Sb 0.500 0.000 0.500 (multiplicity 1)
O 0.245 0.500 0.214 (multiplicity 2)
O 0.293 0.000 0.808 (multiplicity 2)


Structure and computed powder diffraction line list of MgCrSbO4 (a PBE+U-relaxed structure; copper Kα).
Lines closer than 0.1° are merged.

Principal peaks in the range 10 to 90 degrees two-theta, by angle:
d (Å)  2θ (°)  I/Imax  hkl
5.441  16.29  71  0 0 1
4.699  18.89  100  0 1 1
3.228  27.63  43  0 1 -1
2.731  32.79  39  1 0 -1
2.701  33.17  43  1 1 0
2.621  34.21  25  -1 1 1
2.605  34.43  46  0 2 0
2.127  42.50  34  1 1 2
2.122  42.61  36  -1 1 2
1.760  51.96  27  1 1 -2

Cell lengths 3.158, 5.582, 5.829 Å; angles 68.96, 89.87, 89.92 degrees
Space group P-1 (No. 2)
One atom of each set of equivalent atoms:
Mg 0.000 0.000 0.000 (multiplicity 1)
Cr 0.000 0.000 0.500 (multiplicity 1)
Sb 0.500 0.500 0.000 (multiplicity 1)
O 0.001 0.388 0.820 (multiplicity 2)
O 0.499 0.918 0.763 (multiplicity 2)


Structure and computed powder diffraction line list of MgCr2Sb2O8 (a PBE+U-relaxed structure; copper Kα).
Lines closer than 0.1° are merged.

Principal peaks in the range 10 to 90 degrees two-theta, by angle:
d (Å)  2θ (°)  I/Imax  hkl
5.255  16.87  28  0 1 1
5.000  17.74  100  1 0 1
2.743  32.65  52  1 2 1
2.636  34.02  34  1 0 3
2.628  34.12  18  0 2 2
2.500  35.92  15  2 0 2
2.230  40.44  43  2 2 0
2.194  41.13  21  0 0 4
2.055  44.06  15  1 2 3
1.564  59.05  30  2 2 4

Cell lengths 6.083, 6.561, 8.778 Å; angles 90.00, 90.00, 90.00 degrees
Space group Imm2 (No. 44)
One atom of each set of equivalent atoms:
Mg 0.000 0.000 0.000 (multiplicity 2)
Cr 0.246 0.000 0.384 (multiplicity 4)
Sb 0.000 0.244 0.628 (multiplicity 4)
O 0.000 0.202 0.391 (multiplicity 4)
O 0.000 0.279 0.877 (multiplicity 4)
O 0.227 0.000 0.614 (multiplicity 4)
O 0.239 0.500 0.645 (multiplicity 4)


Structure and computed powder diffraction line list of MgCr2Sb2O8 (a PBE+U-relaxed structure; copper Kα).
Lines closer than 0.1° are merged.

Principal peaks in the range 10 to 90 degrees two-theta, by angle:
d (Å)  2θ (°)  I/Imax  hkl
4.967  17.86  37  0 0 1
4.738  18.73  29  1 1 -1
3.427  26.00  100  2 0 0
2.739  32.69  94  0 2 1
2.731  32.80  38  3 1 -2
2.699  33.20  39  2 2 -1
2.154  41.95  29  3 1 -3
1.829  49.85  24  2 2 1
1.792  50.95  23  4 2 -1
1.770  51.63  23  3 3 -1

Cell lengths 9.459, 6.572, 6.847 Å; angles 90.00, 133.49, 90.00 degrees
Space group Cm (No. 8)
One atom of each set of equivalent atoms:
Mg 0.000 0.000 0.000 (multiplicity 2)
Cr 0.287 0.230 0.515 (multiplicity 4)
Sb 0.234 0.500 0.075 (multiplicity 2)
Sb 0.295 0.000 0.981 (multiplicity 2)
O 0.101 0.500 0.278 (multiplicity 2)
O 0.107 0.000 0.370 (multiplicity 2)
O 0.248 0.189 0.177 (multiplicity 4)
O 0.307 0.252 0.828 (multiplicity 4)
O 0.469 0.000 0.697 (multiplicity 2)
O 0.484 0.500 0.688 (multiplicity 2)